(1)
Structure and calculated powder diffraction line list of SbF5 (a structure optimized by DFT (PBE); Cu Kα, 1.54184 Å).
Intensities are scaled so that the largest is 100.

Structural model:
Lattice parameters (Å, degrees): 3.6481 11.3789 8.4892 90.00 90.00 90.00
Space group Cmcm (No. 63)
Inequivalent atoms, fractional coordinates:
Sb  0.0000  0.0000  0.0000 x4
F  0.0000  0.0283  0.2500 x4
F  0.0000  0.1541  0.5814 x8
F  0.0000  0.4245  0.5851 x8

Most intense lines, 10° ≤ 2θ ≤ 90°, in order of rising 2θ:
h k l	d_spacing	intensity
0 2 0	5.689	100
0 0 2	4.245	45
1 1 0	3.474	44
0 2 2	3.402	28
1 1 2	2.688	25
1 5 0	1.931	14
1 1 4	1.811	18
1 3 4	1.651	15



(2)
Structure and calculated powder diffraction line list of Ac2PmSn2 (a structure optimized by DFT (PBE); Cu Kα, 1.54184 Å).
Intensities are scaled so that the largest is 100.

Structural model:
Lattice parameters (Å, degrees): 4.8849 7.1116 10.2211 90.00 90.00 90.00
Space group Immm (No. 71)
Inequivalent atoms, fractional coordinates:
Ac  0.0000  0.0000  0.2030 x4
Pm  0.0000  0.5000  0.0000 x2
Sn  0.0000  0.2856  0.5000 x4

Most intense lines, 10° ≤ 2θ ≤ 90°, in order of rising 2θ:
h k l	d_spacing	intensity
1 1 2	3.163	100
0 1 3	3.073	27
0 2 2	2.919	24
1 0 3	2.794	21
1 2 1	2.767	54
2 0 0	2.442	27
0 3 3	1.946	16
1 2 5	1.666	32



(3)
Structure and calculated powder diffraction line list of PaNiP2Rh2 (a structure optimized by DFT (PBE); Cu Kα, 1.54184 Å).
Intensities are scaled so that the largest is 100.

Structural model:
Lattice parameters (Å, degrees): 3.9050 3.9050 13.5360 90.00 90.00 90.00
Space group I4/mmm (No. 139)
Inequivalent atoms, fractional coordinates:
Pa  0.0000  0.0000  0.0000 x2
Ni  0.0000  0.0000  0.5000 x2
P  0.0000  0.0000  0.3461 x4
Rh  0.0000  0.5000  0.2500 x4

Most intense lines, 10° ≤ 2θ ≤ 90°, in order of rising 2θ:
h k l	d_spacing	intensity
0 0 4	3.384	47
1 0 3	2.953	31
1 1 2	2.557	100
2 0 0	1.952	31
1 1 6	1.747	42
0 0 8	1.691	34
2 0 8	1.279	23
3 1 2	1.215	27



(4)
Structure and calculated powder diffraction line list of PuZr7Sc12 (a structure optimized by DFT (PBE); Cu Kα, 1.54184 Å).
Intensities are scaled so that the largest is 100.

Structural model:
Lattice parameters (Å, degrees): 5.6433 6.0990 15.9163 84.07 79.82 62.62
Space group P1 (No. 1)
Inequivalent atoms, fractional coordinates:
Pu  0.0000  0.0000  0.0000 x1
Zr  0.4213  0.0512  0.4519 x1
Zr  0.4318  0.4565  0.0488 x1
Zr  0.4900  0.9192  0.0946 x1
Zr  0.4922  0.5061  0.4994 x1
Zr  0.9217  0.9625  0.5473 x1
Zr  0.9230  0.5513  0.9519 x1
Zr  0.9924  0.4180  0.5948 x1
Sc  0.0010  0.6024  0.4006 x1
Sc  0.0014  0.8187  0.1953 x1
Sc  0.0083  0.2114  0.7985 x1
Sc  0.4085  0.2574  0.2484 x1
Sc  0.4122  0.8671  0.6455 x1
Sc  0.4158  0.6502  0.8506 x1
Sc  0.5037  0.3148  0.6945 x1
Sc  0.5048  0.1002  0.9001 x1
Sc  0.5052  0.7132  0.2995 x1
Sc  0.9082  0.7558  0.7473 x1
Sc  0.9103  0.1547  0.3521 x1
Sc  0.9163  0.3713  0.1472 x1

Most intense lines, 10° ≤ 2θ ≤ 90°, in order of rising 2θ:
h k l	d_spacing	intensity
0 0 2	7.830	53
1 0 5	2.842	26
0 2 2	2.579	38
1 0 -5	2.489	100
2 0 0	2.479	27
2 2 2	2.472	29
3 1 6	1.633	17
-2 2 2	1.470	18



(5)
Structure and calculated powder diffraction line list of Cs2NaTe4As (a structure optimized by DFT (PBE); Cu Kα, 1.54184 Å).
Intensities are scaled so that the largest is 100.

Structural model:
Lattice parameters (Å, degrees): 6.5073 17.4413 25.5282 90.00 90.00 90.00
Space group Fddd (No. 70, origin choice 2)
Inequivalent atoms, fractional coordinates:
Cs  0.1250  0.1250  0.3101 x16
Na  0.1250  0.1250  0.1250 x8
Te  0.0570  0.2788  0.8062 x32
As  0.1250  0.1250  0.6250 x8

Most intense lines, 10° ≤ 2θ ≤ 90°, in order of rising 2θ:
h k l	d_spacing	intensity
1 1 1	5.930	25
1 3 1	4.274	20
1 3 3	3.863	100
1 3 5	3.305	36
0 0 8	3.191	24
2 0 6	2.585	23
0 6 6	2.400	26
2 6 0	2.168	18



(6)
Structure and calculated powder diffraction line list of Ba2Li2PaO7 (a structure optimized by DFT (PBE); Cu Kα, 1.54184 Å).
Intensities are scaled so that the largest is 100.

Structural model:
Lattice parameters (Å, degrees): 5.5727 5.4959 10.7309 90.00 100.38 90.00
Space group C2/m (No. 12)
Inequivalent atoms, fractional coordinates:
Ba  0.2002  0.0000  0.3579 x4
Li  0.1280  0.5000  0.1907 x4
Pa  0.0000  0.0000  0.0000 x2
O  0.0000  0.5000  0.0000 x2
O  0.1288  0.2440  0.8644 x8
O  0.2101  0.5000  0.3847 x4

Most intense lines, 10° ≤ 2θ ≤ 90°, in order of rising 2θ:
h k l	d_spacing	intensity
1 1 0	3.881	74
1 1 -1	3.803	100
0 0 3	3.518	73
1 1 2	2.952	85
1 1 -3	2.790	58
2 0 -1	2.777	50
0 2 3	2.166	61
2 2 -1	1.953	52



Q: Number 3 is which compound?
A: PaNiP2Rh2